For TbYCO, a cell relaxed with PBE gives the calculated powder diffractogram in this record (Cu Kα X-rays).

Atomic structure:
a = 6.438 Å, b = 6.438 Å, c = 6.438 Å
α = 151.40°, β = 150.64°, γ = 41.45°
Fractional coordinates of all 4 atoms:
Tb 0.000 0.000 0.000
Y 0.754 0.254 0.500
C 0.346 0.846 0.500
O 0.588 0.588 0.000

Peak list (8 most intense, 10° ≤ 2θ ≤ 90°, in order of falling intensity)
| two_theta | I/Imax |
| --- | --- |
| 42.44 | 100 |
| 28.34 | 60 |
| 29.04 | 56 |
| 29.67 | 53 |
| 36.03 | 42 |
| 35.45 | 39 |
| 61.60 | 32 |
| 46.89 | 24 |